Starting from a crystal structure in Alexandria, relaxed with PBE, the X-ray diffraction stick pattern of Y8Ir2Os was computed for Cu Kα, 1.54184 Å.

Structure:
a = 7.5591 Å, b = 7.5591 Å, c = 5.9044 Å
α = 100.23°, β = 100.23°, γ = 112.28°
Positions (direct):
Y  0.0000  0.0000  0.0000
Y  0.0227  0.2798  0.5981
Y  0.1443  0.5737  0.1841
Y  0.2798  0.0227  0.5981
Y  0.4287  0.6852  0.7879
Y  0.5737  0.1443  0.1841
Y  0.6852  0.4287  0.7879
Y  0.7149  0.7149  0.3695
Ir  0.0385  0.6644  0.6837
Ir  0.6644  0.0385  0.6837
Os  0.3602  0.3602  0.0362

Principal peaks in the range 10° ≤ 2θ ≤ 80°, by intensity:
two_theta  intensity
32.71  100
39.48  94
33.12  90
30.84  89
40.15  72
15.84  71
35.11  67
21.27  63
35.78  61
17.67  52
36.41  46
54.87  42

***

Starting from a crystal structure in Alexandria, relaxed with PBE, the X-ray diffraction stick pattern of YIrOs2 was computed for Cu Kα, 1.54184 Å.

Structure:
a = 5.8302 Å, b = 5.8302 Å, c = 5.8302 Å
α = 151.59°, β = 133.07°, γ = 55.77°
Positions (direct):
Y  0.0000  0.0000  0.0000
Ir  0.5000  0.5000  0.0000
Os  0.2792  0.7792  0.5000
Os  0.7208  0.2208  0.5000

Principal peaks in the range 10° ≤ 2θ ≤ 80°, by intensity:
two_theta  intensity
40.99  100
38.79  28
34.82  28
71.71  17
20.99  17
53.10  17
66.62  13
48.31  11
57.75  7
78.54  7
65.21  6
76.10  6

***

Starting from a crystal structure in Alexandria, relaxed with PBE, the X-ray diffraction stick pattern of PIr8 was computed for Cu Kα, 1.54184 Å.

Structure:
a = 6.0824 Å, b = 6.0824 Å, c = 6.0824 Å
α = 96.02°, β = 96.02°, γ = 142.22°
Positions (direct):
P  0.0000  0.0000  0.0000
Ir  0.0000  0.3263  0.3263
Ir  0.0000  0.6737  0.6737
Ir  0.3263  0.0000  0.3263
Ir  0.3294  0.3294  0.6588
Ir  0.3294  0.6706  0.0000
Ir  0.6706  0.3294  0.0000
Ir  0.6706  0.6706  0.3412
Ir  0.6737  0.0000  0.6737

Principal peaks in the range 10° ≤ 2θ ≤ 80°, by intensity:
two_theta  intensity
40.37  100
47.39  32
68.26  21
46.10  17
69.27  10
21.84  5
15.40  5
33.53  4
46.36  3
25.12  2
31.08  1
61.66  1

***

Starting from a crystal structure in Alexandria, relaxed with PBE, the X-ray diffraction stick pattern of PIr was computed for Cu Kα, 1.54184 Å.

Structure:
a = 8.8161 Å, b = 8.8161 Å, c = 3.7547 Å
α = 90.00°, β = 90.00°, γ = 120.00°
Positions (direct):
P  0.0818  0.3760  0.2500
P  0.2942  0.9182  0.2500
P  0.3760  0.2942  0.7500
P  0.6240  0.7058  0.2500
P  0.7058  0.0818  0.7500
P  0.9182  0.6240  0.7500
Ir  0.0705  0.6398  0.2500
Ir  0.3602  0.4307  0.2500
Ir  0.4307  0.0705  0.7500
Ir  0.5693  0.9295  0.2500
Ir  0.6398  0.5693  0.7500
Ir  0.9295  0.3602  0.7500

Principal peaks in the range 10° ≤ 2θ ≤ 80°, by intensity:
two_theta  intensity
39.38  100
31.29  91
11.59  81
20.14  79
30.99  60
53.88  55
26.45  46
23.30  41
49.41  40
52.22  33
74.02  24
48.49  22

***

Starting from a crystal structure in Alexandria, relaxed with PBE, the X-ray diffraction stick pattern of PIr was computed for Cu Kα, 1.54184 Å.

Structure:
a = 3.3816 Å, b = 3.3953 Å, c = 4.8963 Å
α = 90.00°, β = 90.00°, γ = 90.00°
Positions (direct):
P  0.2500  0.2500  0.1831
P  0.7500  0.7500  0.8169
Ir  0.2500  0.2500  0.6876
Ir  0.7500  0.7500  0.3124

Principal peaks in the range 10° ≤ 2θ ≤ 80°, by intensity:
two_theta  intensity
32.12  100
37.54  74
45.72  43
53.51  26
36.71  19
18.12  16
64.27  14
64.43  14
54.01  13
54.25  13
69.71  11
73.42  11

***

Starting from a crystal structure in Alexandria, relaxed with PBE, the X-ray diffraction stick pattern of P4Ir5 was computed for Cu Kα, 1.54184 Å.

Structure:
a = 7.5877 Å, b = 7.5877 Å, c = 7.5877 Å
α = 91.95°, β = 91.95°, γ = 158.74°
Positions (direct):
P  0.0000  0.2504  0.2504
P  0.0000  0.7496  0.7496
P  0.2504  0.0000  0.2504
P  0.7496  0.0000  0.7496
Ir  0.0000  0.0000  0.0000
Ir  0.3275  0.3275  0.6551
Ir  0.3275  0.6725  0.0000
Ir  0.6725  0.3275  0.0000
Ir  0.6725  0.6725  0.3449

Principal peaks in the range 10° ≤ 2θ ≤ 80°, by intensity:
two_theta  intensity
11.87  100
41.23  80
36.13  50
68.44  27
37.36  22
16.81  21
52.03  18
48.19  15
23.86  14
38.16  12
43.77  12
78.42  11

***

Starting from a crystal structure in Alexandria, relaxed with PBE, the X-ray diffraction stick pattern of P3Ir was computed for Cu Kα, 1.54184 Å.

Structure:
a = 6.9984 Å, b = 6.9984 Å, c = 6.9984 Å
α = 109.47°, β = 109.47°, γ = 109.47°
Positions (direct):
P  0.1395  0.4943  0.3548
P  0.1395  0.7846  0.6452
P  0.2154  0.3548  0.8605
P  0.3548  0.1395  0.4943
P  0.3548  0.8605  0.2154
P  0.4943  0.3548  0.1395
P  0.5057  0.6452  0.8605
P  0.6452  0.1395  0.7846
P  0.6452  0.8605  0.5057
P  0.7846  0.6452  0.1395
P  0.8605  0.2154  0.3548
P  0.8605  0.5057  0.6452
Ir  0.0000  0.0000  0.5000
Ir  0.0000  0.5000  0.0000
Ir  0.5000  0.0000  0.0000
Ir  0.5000  0.5000  0.5000

Principal peaks in the range 10° ≤ 2θ ≤ 80°, by intensity:
two_theta  intensity
22.00  100
31.31  90
50.51  72
55.73  47
38.59  38
74.22  19
69.83  16
78.51  16
44.86  15
35.12  10
65.32  9
58.21  4

***

Starting from a crystal structure in Alexandria, relaxed with PBE, the X-ray diffraction stick pattern of PIr was computed for Cu Kα, 1.54184 Å.

Structure:
a = 4.2387 Å, b = 4.2387 Å, c = 4.2387 Å
α = 140.41°, β = 140.41°, γ = 57.22°
Positions (direct):
P  0.0000  0.0000  0.0000
Ir  0.6740  0.6740  0.0000

Principal peaks in the range 10° ≤ 2θ ≤ 80°, by intensity:
two_theta  intensity
33.46  100
23.91  55
48.50  54
44.64  35
51.27  29
75.09  20
68.40  14
70.29  12
64.97  11
71.38  11
48.96  9
76.86  4

***

Starting from a crystal structure in Alexandria, relaxed with PBE, the X-ray diffraction stick pattern of PIr was computed for Cu Kα, 1.54184 Å.

Structure:
a = 4.1958 Å, b = 4.1958 Å, c = 4.1958 Å
α = 139.65°, β = 139.65°, γ = 58.38°
Positions (direct):
P  0.0000  0.0000  0.0000
Ir  0.2500  0.7500  0.5000

Principal peaks in the range 10° ≤ 2θ ≤ 80°, by intensity:
two_theta  intensity
33.29  100
51.13  39
24.30  37
48.80  35
74.44  20
44.26  16
72.28  11
49.79  11
64.38  10
68.79  9
69.89  8
78.31  2

***

Starting from a crystal structure in Alexandria, relaxed with PBE, the X-ray diffraction stick pattern of P4Ir5 was computed for Cu Kα, 1.54184 Å.

Structure:
a = 6.6861 Å, b = 6.6861 Å, c = 6.8939 Å
α = 90.00°, β = 90.00°, γ = 120.00°
Positions (direct):
P  0.0000  0.0000  0.0000
P  0.0000  0.0000  0.5000
P  0.0000  0.3864  0.2500
P  0.0000  0.6136  0.7500
P  0.3864  0.0000  0.2500
P  0.3864  0.3864  0.7500
P  0.6136  0.0000  0.7500
P  0.6136  0.6136  0.2500
Ir  0.0000  0.2851  0.7500
Ir  0.0000  0.7149  0.2500
Ir  0.2851  0.0000  0.7500
Ir  0.2851  0.2851  0.2500
Ir  0.3333  0.6667  0.0000
Ir  0.3333  0.6667  0.5000
Ir  0.6667  0.3333  0.0000
Ir  0.6667  0.3333  0.5000
Ir  0.7149  0.0000  0.2500
Ir  0.7149  0.7149  0.7500

Principal peaks in the range 10° ≤ 2θ ≤ 80°, by intensity:
two_theta  intensity
37.48  100
29.70  53
47.08  42
73.69  23
43.38  22
30.17  22
61.67  20
48.04  15
53.14  14
30.89  12
41.25  10
70.57  10

***

Starting from a crystal structure in Alexandria, relaxed with PBE, the X-ray diffraction stick pattern of PIr was computed for Cu Kα, 1.54184 Å.

Structure:
a = 7.0346 Å, b = 7.0346 Å, c = 7.0346 Å
α = 93.91°, β = 93.91°, γ = 149.73°
Positions (direct):
P  0.0897  0.3024  0.3921
P  0.3024  0.9103  0.2126
P  0.6976  0.0897  0.7874
P  0.9103  0.6976  0.6079
Ir  0.1436  0.7183  0.8619
Ir  0.2817  0.1436  0.4253
Ir  0.7183  0.8564  0.5747
Ir  0.8564  0.2817  0.1381

Principal peaks in the range 10° ≤ 2θ ≤ 80°, by intensity:
two_theta  intensity
32.06  100
18.48  91
29.41  46
53.87  37
46.15  36
41.90  32
48.33  25
13.04  16
71.79  15
25.97  14
58.76  14
49.64  13

***

Starting from a crystal structure in Alexandria, relaxed with PBE, the X-ray diffraction stick pattern of PaP2Ir2Rh was computed for Cu Kα, 1.54184 Å.

Structure:
a = 3.6069 Å, b = 8.5781 Å, c = 6.2864 Å
α = 90.00°, β = 90.00°, γ = 90.00°
Positions (direct):
Pa  0.0000  0.0659  0.0000
Pa  0.0000  0.9341  0.5000
P  0.0000  0.3898  0.7868
P  0.0000  0.6102  0.2868
P  0.5000  0.1874  0.3138
P  0.5000  0.8126  0.8138
Ir  0.0000  0.3589  0.4113
Ir  0.0000  0.6411  0.9113
Ir  0.5000  0.3739  0.0390
Ir  0.5000  0.6261  0.5390
Rh  0.5000  0.1826  0.6891
Rh  0.5000  0.8174  0.1891

Principal peaks in the range 10° ≤ 2θ ≤ 80°, by intensity:
two_theta  intensity
35.52  100
39.45  35
37.97  22
28.40  19
50.61  19
34.46  16
61.66  16
44.51  16
25.14  15
42.75  15
30.41  11
32.43  10